Diffraction record for Rb2UMn2O6. The powder diffraction line list is computed, not measured: it uses a crystal structure in Alexandria, relaxed with GGA+U and a wavelength of 1.5418 Å.

Peak list (10 most intense, 10° ≤ 2θ ≤ 80°, low angle first)
h k l	2theta	I (rel.)
0 0 1	14.5	33
1 1 0	17.0	51
1 1 1	25.0	26
2 0 1	28.4	43
0 2 0	28.6	47
3 1 -1	28.9	91
1 1 -2	30.1	100
2 2 1	40.7	38
5 1 0	49.8	24
3 3 -1	50.8	23

```
data_Rb2UMn2O6
_chemical_formula_sum 'Rb4 U2 Mn4 O12'
_symmetry_space_group_name_H-M 'C 1 2/m 1'
_symmetry_Int_Tables_number 12
_cell_length_a 10.715
_cell_length_b 6.242
_cell_length_c 6.835
_cell_angle_alpha 90.00
_cell_angle_beta 116.65
_cell_angle_gamma 90.00
loop_
_symmetry_equiv_pos_as_xyz
'x,y,z'
'-x,-y,-z'
'-x,y,-z'
'x,-y,z'
'x+1/2,y+1/2,z'
'-x+1/2,-y+1/2,-z'
'-x+1/2,y+1/2,-z'
'x+1/2,-y+1/2,z'
loop_
_atom_site_label
_atom_site_type_symbol
_atom_site_fract_x
_atom_site_fract_y
_atom_site_fract_z
Rb1 Rb 0.202 0.000 0.136
U1 U 0.000 0.000 0.500
Mn1 Mn 0.084 0.500 0.301
O1 O 0.026 0.235 0.739
O2 O 0.216 0.000 0.613
```